Record 1
# SmGe3
Calculated powder diffractogram, a wavelength of 1.5418 Å. Input: the GGA-PBE geometry in the Materials Project.
Neutral-atom scattering factors, no anomalous dispersion.

Structural model:
abc: 6.124 6.124 5.216
angles: 90.00 90.00 120.00
Element x y z (fractional)
Sm (0.333, 0.667, 0.250)
Sm (0.667, 0.333, 0.750)
Ge (0.148, 0.297, 0.750)
Ge (0.148, 0.852, 0.750)
Ge (0.297, 0.148, 0.250)
Ge (0.703, 0.852, 0.750)
Ge (0.852, 0.148, 0.250)
Ge (0.852, 0.703, 0.250)

Principal peaks in the range 2θ from 5° to 70°, sorted by position:
d [Å]	intensity
3.719	22
2.652	23
2.608	31
2.364	100
1.859	16
1.454	21

Record 2
# YGa3NiGe
Calculated powder diffractogram, a wavelength of 1.5418 Å. Input: the GGA-PBE geometry in the Materials Project.
Neutral-atom scattering factors, no anomalous dispersion.

Structural model:
abc: 12.420 12.420 12.420
angles: 160.50 160.50 27.72
Element x y z (fractional)
Y (0.000, 0.000, 0.000)
Y (0.297, 0.297, 0.000)
Ga (0.100, 0.600, 0.500)
Ga (0.209, 0.709, 0.500)
Ga (0.392, 0.892, 0.500)
Ga (0.600, 0.100, 0.500)
Ga (0.709, 0.209, 0.500)
Ga (0.892, 0.392, 0.500)
Ni (0.154, 0.154, 0.000)
Ni (0.435, 0.435, 0.000)
Ge (0.530, 0.530, 0.000)
Ge (0.802, 0.802, 0.000)

Principal peaks in the range 2θ from 5° to 70°, sorted by position:
d [Å]	intensity
2.667	95
2.391	96
2.118	48
2.104	100
1.585	29
1.488	32

Record 3
# KLaZr2O6
Calculated powder diffractogram, a wavelength of 1.5418 Å. Input: the GGA-PBE geometry in the Materials Project.
Neutral-atom scattering factors, no anomalous dispersion.

Structural model:
abc: 5.923 5.923 5.923
angles: 60.00 60.00 60.00
Element x y z (fractional)
K (0.000, 0.000, 0.000)
La (0.500, 0.500, 0.500)
Zr (0.250, 0.250, 0.250)
Zr (0.750, 0.750, 0.750)
O (0.000, 0.000, 0.500)
O (0.000, 0.500, 0.000)
O (0.000, 0.500, 0.500)
O (0.500, 0.000, 0.000)
O (0.500, 0.000, 0.500)
O (0.500, 0.500, 0.000)

Principal peaks in the range 2θ from 5° to 70°, sorted by position:
d [Å]	intensity
4.836	18
2.961	100
2.526	11
2.094	35
1.710	39
1.481	21

Record 4
# NdTmMg2
Calculated powder diffractogram, a wavelength of 1.5418 Å. Input: the GGA-PBE geometry in the Materials Project.
Neutral-atom scattering factors, no anomalous dispersion.

Structural model:
abc: 5.399 5.399 5.399
angles: 60.00 60.00 60.00
Element x y z (fractional)
Nd (0.000, 0.000, 0.000)
Tm (0.500, 0.500, 0.500)
Mg (0.250, 0.250, 0.250)
Mg (0.750, 0.750, 0.750)

Principal peaks in the range 2θ from 5° to 70°, sorted by position:
d [Å]	intensity
3.818	62
2.700	100
2.204	19
1.909	18
1.707	27
1.559	38

Record 5
# CdSeO4
Calculated powder diffractogram, a wavelength of 1.5418 Å. Input: the GGA-PBE geometry in the Materials Project.
Neutral-atom scattering factors, no anomalous dispersion.

Structural model:
abc: 9.643 7.446 5.236
angles: 90.00 90.00 90.00
Element x y z (fractional)
Cd (0.000, 0.000, 0.000)
Cd (0.000, 0.500, 0.000)
Cd (0.500, 0.000, 0.500)
Cd (0.500, 0.500, 0.500)
Se (0.182, 0.250, 0.477)
Se (0.318, 0.750, 0.977)
Se (0.682, 0.250, 0.023)
Se (0.818, 0.750, 0.523)
O (0.128, 0.250, 0.783)
O (0.131, 0.060, 0.341)
O (0.131, 0.440, 0.341)
O (0.142, 0.750, 0.952)
O (0.358, 0.250, 0.452)
O (0.369, 0.560, 0.841)
O (0.369, 0.940, 0.841)
O (0.372, 0.750, 0.283)
O (0.628, 0.250, 0.717)
O (0.631, 0.060, 0.159)
O (0.631, 0.440, 0.159)
O (0.642, 0.750, 0.548)
O (0.858, 0.250, 0.048)
O (0.869, 0.560, 0.659)
O (0.869, 0.940, 0.659)
O (0.872, 0.750, 0.217)

Principal peaks in the range 2θ from 5° to 70°, sorted by position:
d [Å]	intensity
4.601	64
3.914	100
2.947	89
2.894	93
2.739	89
1.957	54

Record 6
# LiPrTl2
Calculated powder diffractogram, a wavelength of 1.5418 Å. Input: the GGA-PBE geometry in the Materials Project.
Neutral-atom scattering factors, no anomalous dispersion.

Structural model:
abc: 5.326 5.326 5.326
angles: 60.00 60.00 60.00
Element x y z (fractional)
Li (0.000, 0.000, 0.000)
Pr (0.500, 0.500, 0.500)
Tl (0.250, 0.250, 0.250)
Tl (0.750, 0.750, 0.750)

Principal peaks in the range 2θ from 5° to 70°, sorted by position:
d [Å]	intensity
4.349	15
3.766	26
2.663	100
1.883	18
1.684	11
1.537	38

Record 7
# HoBO3
Calculated powder diffractogram, a wavelength of 1.5418 Å. Input: the GGA-PBE geometry in the Materials Project.
Neutral-atom scattering factors, no anomalous dispersion.

Structural model:
abc: 3.473 3.473 3.473
angles: 90.00 90.00 90.00
Element x y z (fractional)
Ho (0.000, 0.000, 0.000)
B (0.500, 0.500, 0.500)
O (0.000, 0.500, 0.500)
O (0.500, 0.000, 0.500)
O (0.500, 0.500, 0.000)

Principal peaks in the range 2θ from 5° to 70°, sorted by position:
d [Å]	intensity
3.473	97
2.456	100
2.005	63
1.736	33
1.553	42
1.418	37